Computed powder diffraction line list
Compound: Rb2Cr2O7
Radiation: Cu Kα, 1.54184 Å
Structure: a crystal structure in Alexandria, relaxed with PBE+U

Most intense lines, 10° ≤ 2θ ≤ 80°, in order of rising 2θ:
- 2θ 23.04, intensity 43
- 2θ 23.51, intensity 100
- 2θ 24.36, intensity 38
- 2θ 25.25, intensity 29
- 2θ 26.01, intensity 69
- 2θ 27.56, intensity 38
- 2θ 30.44, intensity 26
- 2θ 39.70, intensity 24

Crystal structure
```
data_Rb2Cr2O7
_chemical_formula_sum 'Rb4 Cr4 O14'
_cell_length_a 7.657
_cell_length_b 7.979
_cell_length_c 8.012
_cell_angle_alpha 104.45
_cell_angle_beta 112.32
_cell_angle_gamma 94.96
_space_group_name_H-M_alt 'P 1'
_space_group_IT_number 1
_space_group_name_Hall 'P 1'
loop_
_atom_site_label
_atom_site_fract_x
_atom_site_fract_y
_atom_site_fract_z
_atom_site_occupancy
Rb1 0.134 0.255 0.484 1
Rb2 0.304 0.719 0.089 1
Rb3 0.696 0.281 0.911 1
Rb4 0.866 0.745 0.516 1
Cr1 0.201 0.230 0.995 1
Cr2 0.412 0.799 0.656 1
Cr3 0.588 0.201 0.344 1
Cr4 0.799 0.770 0.005 1
O1 0.017 0.084 0.826 1
O2 0.125 0.362 0.133 1
O3 0.258 0.657 0.674 1
O4 0.305 0.347 0.905 1
O5 0.318 0.970 0.620 1
O6 0.372 0.120 0.129 1
O7 0.466 0.708 0.481 1
O8 0.534 0.292 0.519 1
O9 0.628 0.880 0.871 1
O10 0.682 0.030 0.380 1
O11 0.695 0.653 0.095 1
O12 0.742 0.343 0.326 1
O13 0.875 0.638 0.867 1
O14 0.983 0.916 0.174 1
```